For CdAu17, a crystal structure in OQMD, relaxed with GGA-PBE gives the calculated X-ray powder pattern in this record (Cu Kα (weighted mean of Kα1 and Kα2)).
No peak broadening, texture or thermal motion is included.

Largest 8 diffraction maxima, in order of rising 2θ, 2θ from 15° to 90°:
two_theta	I/Imax
35.8	35
37.1	50
37.9	100
42.7	51
44.2	54
62.3	24
63.9	23
75.5	25

Atomic structure:
abc: 5.8283 5.8283 35.0969
angles: 90.00 90.00 120.00
Fractional coordinates of all 36 atoms:
1 Cd 0.3333 0.6667 0.2846
2 Cd 0.6667 0.3333 0.7154
3 Au 0.0000 0.0000 0.0000
4 Au 0.0000 0.0000 0.2082
5 Au 0.0000 0.0000 0.7918
6 Au 0.0000 0.5000 0.0000
7 Au 0.0010 0.5005 0.2083
8 Au 0.1666 0.3332 0.1389
9 Au 0.1667 0.3333 0.7210
10 Au 0.1665 0.3331 0.9307
11 Au 0.1666 0.8334 0.1389
12 Au 0.1667 0.8333 0.7210
13 Au 0.1665 0.8335 0.9307
14 Au 0.3331 0.1665 0.0693
15 Au 0.3333 0.1667 0.2790
16 Au 0.3332 0.1666 0.8611
17 Au 0.3333 0.6667 0.0695
18 Au 0.3333 0.6667 0.8616
19 Au 0.4995 0.5005 0.2083
20 Au 0.4995 0.9990 0.2083
21 Au 0.5000 0.0000 0.0000
22 Au 0.5000 0.5000 0.0000
23 Au 0.5005 0.0010 0.7917
24 Au 0.5005 0.4995 0.7917
25 Au 0.6667 0.3333 0.1384
26 Au 0.6667 0.3333 0.9305
27 Au 0.6668 0.8334 0.1389
28 Au 0.6667 0.8333 0.7210
29 Au 0.6669 0.8335 0.9307
30 Au 0.8335 0.1665 0.0693
31 Au 0.8333 0.1667 0.2790
32 Au 0.8334 0.1666 0.8611
33 Au 0.8335 0.6669 0.0693
34 Au 0.8333 0.6667 0.2790
35 Au 0.8334 0.6668 0.8611
36 Au 0.9990 0.4995 0.7917